No. 1
Computed X-ray powder pattern of Ce6TmOs4 for Cu Ka, from a DFT-relaxed cell (PBE, Alexandria).

Largest 10 diffraction maxima, low angle first, 5 to 70 degrees two-theta:
2theta  d_spacing  I (rel.)
16.9  5.234  37
24.2  3.674  38
28.7  3.114  79
34.8  2.579  73
37.8  2.383  97
38.0  2.368  71
38.6  2.334  100
38.9  2.313  38
53.2  1.721  41
58.5  1.578  50

Structural model:
```
data_Ce6TmOs4
_chemical_formula_sum 'Ce6 Tm1 Os4'
_symmetry_space_group_name_H-M 'P 1'
_symmetry_Int_Tables_number 1
_symmetry_space_group_name_Hall 'P 1'
_cell_length_a 7.348
_cell_length_b 7.348
_cell_length_c 7.348
_cell_angle_alpha 120.49
_cell_angle_beta 120.49
_cell_angle_gamma 89.16
loop_
_atom_site_label
_atom_site_fract_x
_atom_site_fract_y
_atom_site_fract_z
Ce1 0.000 0.500 0.500
Ce2 0.041 0.041 0.664
Ce3 0.376 0.376 0.336
Ce4 0.500 0.000 0.500
Ce5 0.624 0.959 0.000
Ce6 0.959 0.624 0.000
Tm1 0.500 0.500 0.000
Os1 0.133 0.133 0.402
Os2 0.268 0.867 0.000
Os3 0.732 0.732 0.598
Os4 0.867 0.268 0.000
```

No. 2
Computed X-ray powder pattern of Ce2ZnOs for Cu Ka, from a DFT-relaxed cell (PBE, Alexandria).

Largest 10 diffraction maxima, low angle first, 5 to 70 degrees two-theta:
2theta  d_spacing  I (rel.)
16.3  5.424  43
32.7  2.742  98
33.0  2.713  100
33.6  2.666  82
36.3  2.477  50
36.6  2.457  52
39.3  2.293  58
39.5  2.284  69
40.5  2.229  85
55.7  1.651  34

Structural model:
```
data_Ce2ZnOs
_chemical_formula_sum 'Ce8 Zn4 Os4'
_symmetry_space_group_name_H-M 'P 1'
_symmetry_Int_Tables_number 1
_symmetry_space_group_name_Hall 'P 1'
_cell_length_a 6.894
_cell_length_b 5.783
_cell_length_c 11.208
_cell_angle_alpha 90.00
_cell_angle_beta 127.30
_cell_angle_gamma 90.00
loop_
_atom_site_label
_atom_site_fract_x
_atom_site_fract_y
_atom_site_fract_z
Ce1 0.179 0.135 0.344
Ce2 0.179 0.365 0.844
Ce3 0.259 0.683 0.598
Ce4 0.259 0.817 0.098
Ce5 0.741 0.183 0.902
Ce6 0.741 0.317 0.402
Ce7 0.821 0.635 0.156
Ce8 0.821 0.865 0.656
Zn1 0.388 0.634 0.378
Zn2 0.388 0.866 0.878
Zn3 0.612 0.134 0.122
Zn4 0.612 0.366 0.622
Os1 0.218 0.177 0.623
Os2 0.218 0.323 0.123
Os3 0.782 0.677 0.877
Os4 0.782 0.823 0.377
```

No. 3
Computed X-ray powder pattern of CeZrOs for Cu Ka, from a DFT-relaxed cell (PBE, Alexandria).

Largest 10 diffraction maxima, low angle first, 5 to 70 degrees two-theta:
2theta  d_spacing  I (rel.)
14.9  5.938  16
24.3  3.662  100
30.1  2.969  18
33.9  2.647  27
35.5  2.530  22
40.2  2.244  64
40.3  2.239  64
41.7  2.167  18
47.5  1.913  24
47.6  1.909  17

Structural model:
```
data_CeZrOs
_chemical_formula_sum 'Ce6 Zr6 Os6'
_symmetry_space_group_name_H-M 'P 1'
_symmetry_Int_Tables_number 1
_symmetry_space_group_name_Hall 'P 1'
_cell_length_a 7.769
_cell_length_b 7.769
_cell_length_c 7.769
_cell_angle_alpha 99.70
_cell_angle_beta 99.70
_cell_angle_gamma 99.70
loop_
_atom_site_label
_atom_site_fract_x
_atom_site_fract_y
_atom_site_fract_z
Ce1 0.195 0.420 0.549
Ce2 0.420 0.549 0.195
Ce3 0.451 0.805 0.580
Ce4 0.549 0.195 0.420
Ce5 0.580 0.451 0.805
Ce6 0.805 0.580 0.451
Zr1 0.071 0.917 0.319
Zr2 0.083 0.681 0.929
Zr3 0.319 0.071 0.917
Zr4 0.681 0.929 0.083
Zr5 0.917 0.319 0.071
Zr6 0.929 0.083 0.681
Os1 0.110 0.807 0.634
Os2 0.193 0.366 0.890
Os3 0.366 0.890 0.193
Os4 0.634 0.110 0.807
Os5 0.807 0.634 0.110
Os6 0.890 0.193 0.366
```